[1]
For Na5B7C3, a crystal structure in Alexandria, relaxed with PBE gives the calculated PXRD pattern in this record (Cu Kα (λ = 1.5418 Å)).
Intensities are scaled so that the largest is 100.

Atomic structure:
a = 2.8913 Å, b = 2.8913 Å, c = 42.7899 Å
α = 90.00°, β = 90.00°, γ = 120.00°
Space group P-6m2 (No. 187)
Asymmetric unit:
Na (0.0000, 0.0000, 0.0509) (multiplicity 2)
Na (0.0000, 0.0000, 0.1499) (multiplicity 2)
Na (0.0000, 0.0000, 0.2487) (multiplicity 2)
Na (0.0000, 0.0000, 0.3502) (multiplicity 2)
Na (0.0000, 0.0000, 0.4493) (multiplicity 2)
B (0.3333, 0.6667, 0.0000) (multiplicity 1)
B (0.3333, 0.6667, 0.1991) (multiplicity 2)
B (0.3333, 0.6667, 0.2995) (multiplicity 2)
B (0.3333, 0.6667, 0.3998) (multiplicity 2)
B (0.3333, 0.6667, 0.5000) (multiplicity 1)
B (0.6667, 0.3333, 0.0000) (multiplicity 1)
B (0.6667, 0.3333, 0.1007) (multiplicity 2)
B (0.6667, 0.3333, 0.2995) (multiplicity 2)
B (0.6667, 0.3333, 0.5000) (multiplicity 1)
C (0.3333, 0.6667, 0.1007) (multiplicity 2)
C (0.6667, 0.3333, 0.1990) (multiplicity 2)
C (0.6667, 0.3333, 0.3998) (multiplicity 2)

Largest 6 diffraction maxima, in order of falling intensity, 2θ = 10–90°:
- d 2.161, 2θ 41.8, I = 100
- d 2.139, 2θ 42.2, I = 25
- d 2.504, 2θ 35.9, I = 18
- d 1.446, 2θ 64.5, I = 17
- d 1.198, 2θ 80.1, I = 17
- d 1.239, 2θ 76.9, I = 12

---

[2]
For ScZn2GeH, a crystal structure in Alexandria, relaxed with PBE gives the calculated PXRD pattern in this record (Cu Kα (λ = 1.5418 Å)).
Intensities are scaled so that the largest is 100.

Atomic structure:
a = 4.0824 Å, b = 4.0824 Å, c = 4.2008 Å
α = 90.00°, β = 90.00°, γ = 90.00°
Space group P4/mmm (No. 123)
Asymmetric unit:
Sc (0.0000, 0.0000, 0.0000) (multiplicity 1)
Zn (0.0000, 0.5000, 0.5000) (multiplicity 2)
Ge (0.5000, 0.5000, 0.0000) (multiplicity 1)
H (0.0000, 0.0000, 0.5000) (multiplicity 1)

Largest 6 diffraction maxima, in order of falling intensity, 2θ = 10–90°:
- d 2.379, 2θ 37.8, I = 100
- d 2.041, 2θ 44.4, I = 32
- d 1.234, 2θ 77.3, I = 22
- d 1.464, 2θ 63.6, I = 21
- d 2.100, 2θ 43.1, I = 17
- d 1.260, 2θ 75.5, I = 12

---

[3]
For UPa2Si3Ir4, a crystal structure in Alexandria, relaxed with PBE gives the calculated PXRD pattern in this record (Cu Kα (λ = 1.5418 Å)).
Intensities are scaled so that the largest is 100.

Atomic structure:
a = 4.0884 Å, b = 4.0884 Å, c = 10.9224 Å
α = 90.00°, β = 90.00°, γ = 90.00°
Space group P-4m2 (No. 115)
Asymmetric unit:
U (0.0000, 0.0000, 0.0000) (multiplicity 1)
Pa (0.0000, 0.5000, 0.7337) (multiplicity 2)
Si (0.0000, 0.5000, 0.3796) (multiplicity 2)
Si (0.5000, 0.5000, 0.0000) (multiplicity 1)
Ir (0.0000, 0.0000, 0.5000) (multiplicity 1)
Ir (0.0000, 0.5000, 0.1620) (multiplicity 2)
Ir (0.5000, 0.5000, 0.5000) (multiplicity 1)

Largest 6 diffraction maxima, in order of falling intensity, 2θ = 10–90°:
- d 2.555, 2θ 35.1, I = 100
- d 2.044, 2θ 44.3, I = 40
- d 2.719, 2θ 32.9, I = 23
- d 1.258, 2θ 75.6, I = 23
- d 3.273, 2θ 27.2, I = 22
- d 1.635, 2θ 56.3, I = 20

---

[4]
For Sm5IrPb2, a crystal structure in Alexandria, relaxed with PBE gives the calculated PXRD pattern in this record (Cu Kα (λ = 1.5418 Å)).
Intensities are scaled so that the largest is 100.

Atomic structure:
a = 8.2263 Å, b = 12.5259 Å, c = 4.6525 Å
α = 90.00°, β = 90.00°, γ = 90.00°
Space group Pbam (No. 55)
Asymmetric unit:
Sm (0.0000, 0.0000, 0.0000) (multiplicity 2)
Sm (0.1372, 0.2994, 0.0000) (multiplicity 4)
Sm (0.1854, 0.5662, 0.5000) (multiplicity 4)
Ir (0.0000, 0.5000, 0.0000) (multiplicity 2)
Pb (0.0759, 0.8274, 0.5000) (multiplicity 4)

Largest 6 diffraction maxima, in order of falling intensity, 2θ = 10–90°:
- d 2.992, 2θ 29.9, I = 100
- d 2.765, 2θ 32.4, I = 77
- d 2.927, 2θ 30.5, I = 60
- d 2.326, 2θ 38.7, I = 58
- d 2.907, 2θ 30.8, I = 56
- d 1.821, 2θ 50.1, I = 30

---

[5]
For NdPaS2O, a crystal structure in Alexandria, relaxed with PBE gives the calculated PXRD pattern in this record (Cu Kα (λ = 1.5418 Å)).
Intensities are scaled so that the largest is 100.

Atomic structure:
a = 3.9195 Å, b = 3.9195 Å, c = 13.6352 Å
α = 90.00°, β = 90.00°, γ = 90.00°
Space group P4/nmm (No. 129, origin choice 2)
Asymmetric unit:
Nd (0.2500, 0.2500, 0.0915) (multiplicity 2)
Pa (0.2500, 0.2500, 0.6054) (multiplicity 2)
S (0.2500, 0.2500, 0.3943) (multiplicity 2)
S (0.2500, 0.2500, 0.7947) (multiplicity 2)
O (0.2500, 0.7500, 0.0000) (multiplicity 2)

Largest 6 diffraction maxima, in order of falling intensity, 2θ = 10–90°:
- d 3.400, 2θ 26.2, I = 100
- d 2.771, 2θ 32.3, I = 47
- d 1.698, 2θ 54.0, I = 35
- d 2.150, 2θ 42.0, I = 28
- d 2.572, 2θ 34.9, I = 25
- d 1.960, 2θ 46.3, I = 20

---

[6]
For BaCaNb4O12, a crystal structure in Alexandria, relaxed with PBE gives the calculated PXRD pattern in this record (Cu Kα (λ = 1.5418 Å)).
Intensities are scaled so that the largest is 100.

Atomic structure:
a = 8.0333 Å, b = 8.0472 Å, c = 8.0385 Å
α = 90.00°, β = 90.00°, γ = 90.00°
Space group Cmmm (No. 65)
Asymmetric unit:
Ba (0.0000, 0.0000, 0.0000) (multiplicity 2)
Ca (0.0000, 0.5000, 0.5000) (multiplicity 2)
Nb (0.2500, 0.2500, 0.2532) (multiplicity 8)
O (0.0000, 0.2452, 0.2561) (multiplicity 8)
O (0.2393, 0.5000, 0.2584) (multiplicity 8)
O (0.2500, 0.2500, 0.0000) (multiplicity 4)
O (0.2500, 0.2500, 0.5000) (multiplicity 4)

Largest 6 diffraction maxima, in order of falling intensity, 2θ = 10–90°:
- d 2.842, 2θ 31.5, I = 100
- d 4.020, 2θ 22.1, I = 41
- d 2.010, 2θ 45.1, I = 41
- d 1.641, 2θ 56.0, I = 39
- d 4.642, 2θ 19.1, I = 30
- d 1.421, 2θ 65.7, I = 24

---

[7]
For Y2CuSi2Ni5, a crystal structure in Alexandria, relaxed with PBE gives the calculated PXRD pattern in this record (Cu Kα (λ = 1.5418 Å)).
Intensities are scaled so that the largest is 100.

Atomic structure:
a = 9.5778 Å, b = 9.5778 Å, c = 3.2165 Å
α = 90.00°, β = 90.00°, γ = 90.00°
Space group P4/mbm (No. 127)
Asymmetric unit:
Y (0.1775, 0.3225, 0.0000) (multiplicity 4)
Cu (0.0000, 0.0000, 0.0000) (multiplicity 2)
Si (0.1215, 0.6215, 0.0000) (multiplicity 4)
Ni (0.0000, 0.5000, 0.5000) (multiplicity 2)
Ni (0.0565, 0.7931, 0.5000) (multiplicity 8)

Largest 6 diffraction maxima, in order of falling intensity, 2θ = 10–90°:
- d 2.205, 2θ 40.9, I = 100
- d 2.323, 2θ 38.8, I = 64
- d 2.332, 2θ 38.6, I = 36
- d 2.572, 2θ 34.9, I = 35
- d 2.048, 2θ 44.2, I = 29
- d 2.258, 2θ 39.9, I = 23